For Ac4Te6Br, the PBE geometry in Alexandria gives the theoretical powder X-ray diffraction pattern in this record (copper Kα).
Lines closer than 0.1° are merged.

Main lines, sorted by position (2θ from 10° to 80°):
| d (Å) | 2theta | I/Imax | (hkl) |
| --- | --- | --- | --- |
| 4.386 | 20.25 | 44 | 2 0 0 |
| 3.410 | 26.13 | 57 | 1 1 1 |
| 3.179 | 28.07 | 89 | 2 0 1 |
| 2.692 | 33.28 | 100 | 2 1 1 |
| 2.532 | 35.45 | 74 | 2 2 0 |
| 2.307 | 39.05 | 31 | 0 0 2 |
| 1.705 | 53.76 | 45 | 2 2 2 |
| 1.640 | 56.09 | 25 | 5 0 1 |

Structural model:
```
data_Ac4Te6Br
_cell_length_a 10.1280
_cell_length_b 10.1280
_cell_length_c 4.6137
_cell_angle_alpha 90.00
_cell_angle_beta 90.00
_cell_angle_gamma 120.00
_symmetry_space_group_name_H-M 'P -6 m 2'
_symmetry_Int_Tables_number 187
_symmetry_space_group_name_Hall 'P -6 2'
loop_
_atom_site_label
_atom_site_fract_x
_atom_site_fract_y
_atom_site_fract_z
Ac1 0.0000 0.0000 0.0000
Ac2 0.0169 0.5084 0.5000
Te1 0.2073 0.4147 0.0000
Te2 0.2782 0.1391 0.5000
Br1 0.6667 0.3333 0.0000
```

***

For AcTl3Br6, the PBE geometry in Alexandria gives the theoretical powder X-ray diffraction pattern in this record (copper Kα).
Lines closer than 0.1° are merged.

Main lines, sorted by position (2θ from 10° to 80°):
| d (Å) | 2theta | I/Imax | (hkl) |
| --- | --- | --- | --- |
| 4.249 | 20.91 | 100 | 1 1 1 |
| 4.065 | 21.87 | 99 | 1 1 -3 |
| 2.968 | 30.11 | 63 | 2 2 -2 |
| 2.907 | 30.75 | 68 | 0 0 4 |
| 2.693 | 33.27 | 45 | 1 3 0 |
| 2.426 | 37.06 | 48 | 0 2 4 |
| 2.398 | 37.50 | 50 | 3 1 -1 |
| 2.298 | 39.20 | 51 | 3 1 -5 |

Structural model:
```
data_AcTl3Br6
_cell_length_a 8.059
_cell_length_b 8.797
_cell_length_c 13.762
_cell_angle_alpha 90.00
_cell_angle_beta 122.32
_cell_angle_gamma 90.00
_symmetry_space_group_name_H-M 'P 1 21/c 1'
_symmetry_Int_Tables_number 14
loop_
_symmetry_equiv_pos_as_xyz
'x,y,z'
'-x,-y,-z'
'-x,y+1/2,-z+1/2'
'x,-y+1/2,z+1/2'
loop_
_atom_site_label
_atom_site_fract_x
_atom_site_fract_y
_atom_site_fract_z
Ac1 0.000 0.000 0.000
Tl1 0.300 0.074 0.776
Tl2 0.500 0.000 0.500
Br1 0.094 0.073 0.241
Br2 0.260 0.717 0.090
Br3 0.363 0.170 0.045
```